Ba5P4: theoretical X-ray powder pattern (CuKα), based on a crystal structure in the Materials Project, relaxed with PBE.
No peak broadening, texture or thermal motion is included.

Atomic structure:
```
data_Ba5P4
_chemical_formula_sum 'Ba20 P16'
_cell_length_a 16.7229
_cell_length_b 8.4362
_cell_length_c 8.5207
_cell_angle_alpha 90.00
_cell_angle_beta 90.00
_cell_angle_gamma 90.00
_space_group_name_H-M_alt 'C m c e'
_space_group_IT_number 64
_space_group_name_Hall '-C 2ac 2'
loop_
_atom_site_label
_atom_site_type_symbol
_atom_site_fract_x
_atom_site_fract_y
_atom_site_fract_z
_atom_site_occupancy
Ba1 Ba 0.0000 0.0000 0.0000 1
Ba2 Ba 0.1473 0.1677 0.3379 1
P1 P 0.0000 0.0970 0.5952 1
P2 P 0.1967 0.0000 0.0000 1
```

Principal peaks in the range 2θ from 10° to 90°, low angle first:
- 2θ 23.52, intensity 70
- 2θ 24.00, intensity 39
- 2θ 28.41, intensity 100
- 2θ 29.94, intensity 35
- 2θ 30.10, intensity 39
- 2θ 31.92, intensity 55
- 2θ 32.11, intensity 39
- 2θ 33.73, intensity 37
- 2θ 34.00, intensity 39
- 2θ 48.38, intensity 49

Ba5P4: theoretical X-ray powder pattern (CuKα), based on a crystal structure in the Materials Project, relaxed with PBE.
No peak broadening, texture or thermal motion is included.

Atomic structure:
```
data_Ba5P4
_chemical_formula_sum 'Ba20 P16'
_cell_length_a 8.4366
_cell_length_b 16.7382
_cell_length_c 8.5255
_cell_angle_alpha 90.00
_cell_angle_beta 90.00
_cell_angle_gamma 90.00
_space_group_name_H-M_alt 'P n m a'
_space_group_IT_number 62
_space_group_name_Hall '-P 2ac 2n'
loop_
_atom_site_label
_atom_site_type_symbol
_atom_site_fract_x
_atom_site_fract_y
_atom_site_fract_z
_atom_site_occupancy
Ba1 Ba 0.0740 0.1026 0.1657 1
Ba2 Ba 0.0917 0.6027 0.3426 1
Ba3 Ba 0.2459 0.2500 0.5050 1
P1 P 0.1475 0.2500 0.9116 1
P2 P 0.1581 0.7500 0.6011 1
P3 P 0.2465 0.0534 0.5066 1
```

Principal peaks in the range 2θ from 10° to 90°, low angle first:
- 2θ 23.55, intensity 71
- 2θ 23.99, intensity 40
- 2θ 28.39, intensity 100
- 2θ 29.92, intensity 34
- 2θ 30.08, intensity 38
- 2θ 31.90, intensity 55
- 2θ 32.08, intensity 40
- 2θ 33.71, intensity 37
- 2θ 33.99, intensity 39
- 2θ 48.36, intensity 48